[1]
# BaNaAg2
Calculated powder X-ray diffraction pattern, a wavelength of 1.5418 Å. Input: a PBE-relaxed structure.
Kinematic intensities with the Lorentz-polarization factor, no thermal factor.

Largest 10 diffraction maxima, by angle, 10° ≤ 2θ ≤ 90°:
d (Å), I_rel
7.014, 38
4.395, 37
3.548, 29
3.263, 65
2.868, 100
2.843, 44
2.497, 29
2.454, 31
2.435, 46
2.338, 27

Atomic structure:
```
BaNaAg2
1.0
8.7907 0.0000 0.0000
0.0000 4.8704 0.0000
0.0000 0.0000 11.6335
Ba Na Ag
4 4 8
direct
0.1522 0.2500 0.1440
0.3478 0.7500 0.6440
0.6522 0.2500 0.3560
0.8478 0.7500 0.8560
0.0211 0.7500 0.3992
0.4789 0.2500 0.8992
0.5211 0.7500 0.1008
0.9789 0.2500 0.6008
0.1437 0.2500 0.8327
0.2413 0.7500 0.9343
0.2587 0.2500 0.4343
0.3563 0.7500 0.3327
0.6437 0.2500 0.6673
0.7413 0.7500 0.5657
0.7587 0.2500 0.0657
0.8563 0.7500 0.1673
```

---

[2]
# Ba3Na2Ag3
Calculated powder X-ray diffraction pattern, a wavelength of 1.5418 Å. Input: a PBE-relaxed structure.
Kinematic intensities with the Lorentz-polarization factor, no thermal factor.

Largest 10 diffraction maxima, by angle, 10° ≤ 2θ ≤ 90°:
d (Å), I_rel
5.004, 64
3.373, 51
2.947, 100
2.889, 66
2.797, 56
2.264, 33
2.194, 40
1.854, 25
1.592, 23
1.517, 19

Atomic structure:
```
Ba3Na2Ag3
1.0
10.0082 0.0000 0.0000
-5.0041 8.6674 0.0000
0.0000 0.0000 6.7465
Ba Na Ag
6 4 6
direct
0.0000 0.2788 0.2500
0.0000 0.7212 0.7500
0.2788 0.0000 0.2500
0.2788 0.2788 0.7500
0.7212 0.0000 0.7500
0.7212 0.7212 0.2500
0.3333 0.6667 0.0000
0.3333 0.6667 0.5000
0.6667 0.3333 0.0000
0.6667 0.3333 0.5000
0.0000 0.3873 0.7500
0.0000 0.6127 0.2500
0.3873 0.0000 0.7500
0.3873 0.3873 0.2500
0.6127 0.0000 0.2500
0.6127 0.6127 0.7500
```

---

[3]
# Ba2NaAg3
Calculated powder X-ray diffraction pattern, a wavelength of 1.5418 Å. Input: a PBE-relaxed structure.
Kinematic intensities with the Lorentz-polarization factor, no thermal factor.

Largest 10 diffraction maxima, by angle, 10° ≤ 2θ ≤ 90°:
d (Å), I_rel
3.730, 21
3.152, 100
2.872, 53
2.379, 42
2.264, 34
1.845, 8
1.833, 28
1.682, 14
1.640, 24
1.484, 20

Atomic structure:
```
Ba2NaAg3
1.0
-2.3784 2.3804 9.0076
2.3784 -2.3804 9.0076
2.3784 2.3804 -9.0076
Ba Na Ag
2 1 3
direct
0.0000 0.0000 0.0000
0.7218 0.2218 0.5000
0.3977 0.3977 0.0000
0.1492 0.6492 0.5000
0.3045 0.8045 0.5000
0.5652 0.5652 0.0000
```

---

[4]
# Ba5NaAg
Calculated powder X-ray diffraction pattern, a wavelength of 1.5418 Å. Input: a PBE-relaxed structure.
Kinematic intensities with the Lorentz-polarization factor, no thermal factor.

Largest 10 diffraction maxima, by angle, 10° ≤ 2θ ≤ 90°:
d (Å), I_rel
7.172, 44
4.036, 46
3.936, 42
3.651, 100
3.586, 58
3.558, 48
3.453, 50
3.425, 81
2.548, 43
2.181, 52

Atomic structure:
```
Ba5NaAg
1.0
7.2032 -4.2528 0.0000
7.2032 4.2528 0.0000
-5.2075 0.0000 12.7607
Ba Na Ag
10 2 2
direct
0.0370 0.9630 0.7500
0.0399 0.3864 0.6312
0.2078 0.5421 0.9646
0.3864 0.0399 0.1312
0.4579 0.7922 0.5354
0.5421 0.2078 0.4646
0.6136 0.9601 0.8688
0.7922 0.4579 0.0354
0.9601 0.6136 0.3688
0.9630 0.0370 0.2500
0.4702 0.5298 0.2500
0.5298 0.4702 0.7500
0.0000 0.0000 0.0000
0.0000 0.0000 0.5000
```

---

[5]
# Ba6Na2AgPd
Calculated powder X-ray diffraction pattern, a wavelength of 1.5418 Å. Input: a PBE-relaxed structure.
Kinematic intensities with the Lorentz-polarization factor, no thermal factor.

Largest 10 diffraction maxima, by angle, 10° ≤ 2θ ≤ 90°:
d (Å), I_rel
6.471, 88
3.736, 65
3.235, 100
2.894, 50
2.288, 76
2.157, 27
1.951, 31
1.868, 27
1.447, 34
1.321, 25

Atomic structure:
```
Ba6Na2AgPd
1.0
0.0000 6.4708 6.4708
6.4708 0.0000 6.4708
6.4708 6.4708 0.0000
Ba Na Ag Pd
6 2 1 1
direct
0.2441 0.2441 0.7559
0.2441 0.7559 0.2441
0.2441 0.7559 0.7559
0.7559 0.2441 0.2441
0.7559 0.2441 0.7559
0.7559 0.7559 0.2441
0.2500 0.2500 0.2500
0.7500 0.7500 0.7500
0.5000 0.5000 0.5000
0.0000 0.0000 0.0000
```

---

[6]
# Ba7NaAg2Pt2
Calculated powder X-ray diffraction pattern, a wavelength of 1.5418 Å. Input: a PBE-relaxed structure.
Kinematic intensities with the Lorentz-polarization factor, no thermal factor.

Largest 10 diffraction maxima, by angle, 10° ≤ 2θ ≤ 90°:
d (Å), I_rel
6.328, 70
3.335, 43
3.257, 100
2.896, 21
2.698, 24
2.330, 65
2.303, 38
2.078, 23
1.895, 35
1.335, 22

Atomic structure:
```
Ba7NaAg2Pt2
1.0
-3.2570 13.3404 3.2568
3.2570 -13.3404 3.2568
3.2570 13.3404 -3.2568
Ba Na Ag Pt
7 1 2 2
direct
0.9998 0.9998 0.0000
0.1194 0.5000 0.6193
0.2337 0.0008 0.2330
0.3806 0.5000 0.8806
0.6194 0.5000 0.1194
0.7678 0.0008 0.7670
0.8807 0.5000 0.3807
0.4991 0.9991 0.5000
0.2509 0.5010 0.7499
0.7510 0.5010 0.2501
0.1158 0.0000 0.1157
0.8843 0.0000 0.8843
```

---

[7]
# Ba6NiAg3
Calculated powder X-ray diffraction pattern, a wavelength of 1.5418 Å. Input: a PBE-relaxed structure.
Kinematic intensities with the Lorentz-polarization factor, no thermal factor.

Largest 10 diffraction maxima, by angle, 10° ≤ 2θ ≤ 90°:
d (Å), I_rel
3.698, 62
3.667, 60
3.607, 84
3.527, 97
3.479, 100
3.291, 69
3.277, 62
2.985, 71
2.795, 85
2.384, 76

Atomic structure:
```
Ba6NiAg3
1.0
8.0458 0.0000 0.0000
0.0000 8.9421 0.0000
-7.6880 0.0000 11.9268
Ba Ni Ag
12 2 6
direct
0.0923 0.0434 0.2411
0.0923 0.4566 0.7411
0.2300 0.6915 0.0706
0.2300 0.8085 0.5706
0.3803 0.1695 0.0640
0.3803 0.3305 0.5640
0.6197 0.6695 0.4360
0.6197 0.8305 0.9360
0.7700 0.1915 0.4294
0.7700 0.3085 0.9294
0.9077 0.5434 0.2589
0.9077 0.9566 0.7589
0.0000 0.0000 0.0000
0.0000 0.5000 0.5000
0.3078 0.1126 0.7551
0.3078 0.3874 0.2551
0.5000 0.0000 0.5000
0.5000 0.5000 0.0000
0.6922 0.6126 0.7449
0.6922 0.8874 0.2449
```

---

[8]
# Ba2NpAg2Se6
Calculated powder X-ray diffraction pattern, a wavelength of 1.5418 Å. Input: a PBE-relaxed structure.
Kinematic intensities with the Lorentz-polarization factor, no thermal factor.

Largest 10 diffraction maxima, by angle, 10° ≤ 2θ ≤ 90°:
d (Å), I_rel
5.600, 45
3.999, 100
3.336, 48
3.255, 24
3.172, 22
2.800, 81
2.562, 43
2.309, 21
2.157, 54
2.000, 60

Atomic structure:
```
Ba2NpAg2Se6
1.0
3.9992 2.3090 6.3431
-3.9992 2.3090 6.3431
0.0000 -4.6179 6.3431
Ba Np Ag Se
2 1 2 6
direct
0.2261 0.2261 0.2261
0.7739 0.7739 0.7739
0.0000 0.0000 0.0000
0.4210 0.4210 0.4210
0.5790 0.5790 0.5790
0.2124 0.7604 0.7604
0.2396 0.2396 0.7876
0.2396 0.7876 0.2396
0.7604 0.2124 0.7604
0.7604 0.7604 0.2124
0.7876 0.2396 0.2396
```

---

[9]
# BaAg2O3
Calculated powder X-ray diffraction pattern, a wavelength of 1.5418 Å. Input: a PBE-relaxed structure.
Kinematic intensities with the Lorentz-polarization factor, no thermal factor.

Largest 10 diffraction maxima, by angle, 10° ≤ 2θ ≤ 90°:
d (Å), I_rel
3.415, 75
3.116, 54
3.006, 74
2.923, 100
2.838, 43
2.371, 32
2.283, 44
1.902, 24
1.898, 27
1.829, 27

Atomic structure:
```
BaAg2O3
1.0
4.5664 0.0000 0.0000
0.0000 11.4124 0.0000
0.0000 0.0000 4.2620
Ba Ag O
2 4 6
direct
0.2500 0.2500 0.1001
0.7500 0.7500 0.8999
0.2500 0.5860 0.4023
0.2500 0.9140 0.4023
0.7500 0.0860 0.5977
0.7500 0.4140 0.5977
0.2500 0.0859 0.5811
0.2500 0.4141 0.5811
0.2500 0.7500 0.1865
0.7500 0.2500 0.8135
0.7500 0.5859 0.4189
0.7500 0.9141 0.4189
```

---

[10]
# BaAg3O4
Calculated powder X-ray diffraction pattern, a wavelength of 1.5418 Å. Input: a PBE-relaxed structure.
Kinematic intensities with the Lorentz-polarization factor, no thermal factor.

Largest 10 diffraction maxima, by angle, 10° ≤ 2θ ≤ 90°:
d (Å), I_rel
3.897, 55
3.279, 54
3.172, 100
3.057, 61
3.034, 59
2.551, 50
2.236, 37
2.154, 78
1.950, 58
1.445, 40

Atomic structure:
```
BaAg3O4
1.0
3.0575 -6.0674 0.0000
3.0575 6.0674 0.0000
0.0000 0.0000 3.8971
Ba Ag O
1 3 4
direct
0.0000 0.0000 0.0000
0.2531 0.7469 0.5000
0.5000 0.5000 0.5000
0.7469 0.2531 0.5000
0.1128 0.3649 0.5000
0.3649 0.1128 0.5000
0.6351 0.8872 0.5000
0.8872 0.6351 0.5000
```

---

[11]
# BaAgPdO2
Calculated powder X-ray diffraction pattern, a wavelength of 1.5418 Å. Input: a PBE-relaxed structure.
Kinematic intensities with the Lorentz-polarization factor, no thermal factor.

Largest 10 diffraction maxima, by angle, 10° ≤ 2θ ≤ 90°:
d (Å), I_rel
6.285, 20
3.523, 31
3.142, 55
2.761, 34
2.426, 24
2.264, 100
2.074, 17
1.921, 28
1.586, 33
1.191, 14

Atomic structure:
```
BaAgPdO2
1.0
2.8005 -6.2847 0.0000
2.8005 6.2847 0.0000
0.0000 0.0000 4.8574
Ba Ag Pd O
2 2 2 4
direct
0.2500 0.7500 0.7579
0.7500 0.2500 0.2421
0.0000 0.0000 0.5000
0.5000 0.5000 0.5000
0.2500 0.2500 0.0000
0.7500 0.7500 0.0000
0.1384 0.8616 0.2337
0.3616 0.6384 0.2337
0.6384 0.3616 0.7663
0.8616 0.1384 0.7663
```

---

[12]
# Ba2PuAgO6
Calculated powder X-ray diffraction pattern, a wavelength of 1.5418 Å. Input: a PBE-relaxed structure.
Kinematic intensities with the Lorentz-polarization factor, no thermal factor.

Largest 10 diffraction maxima, by angle, 10° ≤ 2θ ≤ 90°:
d (Å), I_rel
3.123, 48
3.104, 100
3.084, 100
3.037, 47
2.198, 25
2.177, 52
1.804, 34
1.791, 33
1.781, 22
1.762, 21

Atomic structure:
```
Ba2PuAgO6
1.0
5.3689 -3.0373 0.0000
5.3689 3.0373 0.0000
-3.5853 0.0000 5.1140
Ba Pu Ag O
2 1 1 6
direct
0.2484 0.2484 0.2568
0.7516 0.7516 0.7432
0.0000 0.0000 0.5000
0.5000 0.5000 0.0000
0.1889 0.7220 0.6806
0.2216 0.2216 0.8006
0.2780 0.8111 0.3194
0.7220 0.1889 0.6806
0.7784 0.7784 0.1994
0.8111 0.2780 0.3194
```